(1)
Computed powder X-ray diffraction pattern of Li3AlPd3 for a wavelength of 1.5418 Å, from a crystal structure in Alexandria, relaxed with PBE.

Principal peaks in the range 2θ = 10–90°, most intense first:
(hkl)	Position (°2θ)	intensity
2 2 2	42.99	100
2 2 0	29.50	87
1 1 0	14.63	73
0 0 2	30.55	39
0 4 0	40.54	29
3 1 0	34.05	26
0 2 0	19.95	24
4 0 0	43.83	24

Structure:
Lattice parameters (Å, degrees): 8.2626 8.8999 5.8526 90.00 90.00 90.00
Space group Cmmm (No. 65)
Unique sites:
Li1 0.0000 0.2441 0.0000
Li2 0.2163 0.0000 0.5000
Li3 0.2306 0.0000 0.0000
Al1 0.0000 0.2789 0.5000
Pd1 0.0000 0.5000 0.2393
Pd2 0.2500 0.2500 0.2531

(2)
Computed powder X-ray diffraction pattern of Li2AlPd6 for a wavelength of 1.5418 Å, from a crystal structure in Alexandria, relaxed with PBE.

Principal peaks in the range 2θ = 10–90°, most intense first:
(hkl)	Position (°2θ)	intensity
1 0 3	31.21	100
1 2 3	44.70	61
2 0 0	44.27	16
0 0 6	45.24	15
2 2 0	55.13	13
0 2 6	55.96	12
1 4 3	73.87	11
2 2 6	73.99	11

Structure:
Lattice parameters (Å, degrees): 4.0920 5.7400 12.0261 90.00 90.00 90.00
Space group Immm (No. 71)
Unique sites:
Li1 0.0000 0.0000 0.1677
Al1 0.0000 0.0000 0.5000
Pd1 0.0000 0.2493 0.0000
Pd2 0.0000 0.2532 0.3333